This entry pairs a crystal structure of Nd4C2BrCl4 with its computed powder XRD pattern. Radiation: CuKα. Structure: a crystal structure in OQMD, relaxed with GGA-PBE.
Kinematic intensities with the Lorentz-polarization factor, no thermal factor.

```
Nd4C2BrCl4
1.0
-1.960 4.027 8.707
1.960 -4.027 8.707
1.960 4.027 -8.707
Nd C Br Cl
4 2 1 4
Direct
0.170 0.170 0.000
0.204 0.500 0.704
0.796 0.500 0.296
0.830 0.830 0.000
0.041 0.041 0.000
0.959 0.959 0.000
0.500 0.000 0.500
0.095 0.333 0.762
0.429 0.667 0.762
0.571 0.333 0.238
0.905 0.667 0.238
```

Largest 6 diffraction maxima, low angle first, 10 to 80 degrees two-theta:
- 2θ 18.85, intensity 413
- 2θ 27.30, intensity 464
- 2θ 30.81, intensity 592
- 2θ 32.28, intensity 1000
- 2θ 36.89, intensity 414
- 2θ 41.29, intensity 535